NiAsIrSe2: simulated X-ray powder pattern (copper Kα), based on a structure optimized by DFT (GGA-PBE).
Lines closer than 0.1° are merged.

Crystal structure
abc: 5.0698 5.0698 4.5663
angles: 90.00 90.00 90.00
Element x y z (fractional)
Ni (0.0000, 0.0000, 0.0000)
As (0.5000, 0.5000, 0.0000)
Ir (0.5000, 0.5000, 0.5000)
Se (0.0000, 0.5000, 0.5000)
Se (0.5000, 0.0000, 0.5000)

Principal peaks in the range 2θ = 15–90°, by angle:
2θ/deg  intensity  (hkl)
17.5  95  1 0 0
19.4  39  0 0 1
26.3  56  1 0 1
35.4  100  2 0 0
39.5  37  0 0 2
54.1  59  2 0 2